Entry 1:
Nd2Si4Ir3: simulated powder X-ray diffraction pattern (λ = 1.5418 Å (Cu Kα)), based on a cell relaxed with PBE.
No peak broadening, texture or thermal motion is included.

The 8 most intense peaks (10 to 80 degrees two-theta), low angle first:
2θ 14.82, I = 100; 2θ 28.99, I = 50; 2θ 35.17, I = 19; 2θ 36.63, I = 33; 2θ 37.03, I = 58; 2θ 39.11, I = 46; 2θ 39.71, I = 23; 2θ 40.09, I = 47

Structural model:
Cell lengths 7.732, 6.597, 5.646 Å; angles 77.90, 56.53, 45.56 degrees
Positions (direct):
Nd  0.134  0.134  0.866
Nd  0.866  0.866  0.134
Si  0.167  0.519  0.481
Si  0.481  0.833  0.167
Si  0.519  0.167  0.833
Si  0.833  0.481  0.519
Ir  0.000  0.000  0.500
Ir  0.500  0.500  0.000
Ir  0.500  0.500  0.500



Entry 2:
NdSi4Ir2: simulated powder X-ray diffraction pattern (λ = 1.5418 Å (Cu Kα)), based on a cell relaxed with PBE.
No peak broadening, texture or thermal motion is included.

The 8 most intense peaks (10 to 80 degrees two-theta), low angle first:
2θ 25.26, I = 53; 2θ 29.58, I = 70; 2θ 29.92, I = 67; 2θ 30.04, I = 54; 2θ 36.64, I = 100; 2θ 36.91, I = 46; 2θ 39.96, I = 41; 2θ 43.06, I = 50

Structural model:
Cell lengths 16.851, 4.201, 6.471 Å; angles 90.00, 90.00, 90.00 degrees
Positions (direct):
Nd  0.141  0.250  0.009
Nd  0.359  0.750  0.509
Nd  0.641  0.250  0.491
Nd  0.859  0.750  0.991
Si  0.031  0.750  0.139
Si  0.065  0.250  0.536
Si  0.181  0.750  0.691
Si  0.194  0.750  0.289
Si  0.306  0.250  0.789
Si  0.319  0.250  0.191
Si  0.435  0.750  0.036
Si  0.469  0.250  0.639
Si  0.531  0.750  0.361
Si  0.565  0.250  0.964
Si  0.681  0.750  0.809
Si  0.694  0.750  0.211
Si  0.806  0.250  0.711
Si  0.819  0.250  0.309
Si  0.935  0.750  0.464
Si  0.969  0.250  0.861
Ir  0.033  0.750  0.746
Ir  0.211  0.250  0.491
Ir  0.289  0.750  0.991
Ir  0.467  0.250  0.246
Ir  0.533  0.750  0.754
Ir  0.711  0.250  0.009
Ir  0.789  0.750  0.509
Ir  0.967  0.250  0.254



Entry 3:
Nd3Si2Ir3: simulated powder X-ray diffraction pattern (λ = 1.5418 Å (Cu Kα)), based on a cell relaxed with PBE.
No peak broadening, texture or thermal motion is included.

The 8 most intense peaks (10 to 80 degrees two-theta), low angle first:
2θ 30.77, I = 52; 2θ 33.15, I = 22; 2θ 33.28, I = 100; 2θ 33.82, I = 31; 2θ 36.86, I = 29; 2θ 37.99, I = 46; 2θ 38.14, I = 67; 2θ 41.33, I = 31

Structural model:
Cell lengths 7.765, 14.960, 5.737 Å; angles 90.00, 90.00, 90.00 degrees
Positions (direct):
Nd  0.026  0.109  0.135
Nd  0.026  0.391  0.135
Nd  0.170  0.250  0.600
Nd  0.330  0.750  0.100
Nd  0.474  0.609  0.635
Nd  0.474  0.891  0.635
Nd  0.526  0.109  0.365
Nd  0.526  0.391  0.365
Nd  0.670  0.250  0.900
Nd  0.830  0.750  0.400
Nd  0.974  0.609  0.865
Nd  0.974  0.891  0.865
Si  0.127  0.599  0.373
Si  0.127  0.901  0.373
Si  0.373  0.099  0.873
Si  0.373  0.401  0.873
Si  0.627  0.599  0.127
Si  0.627  0.901  0.127
Si  0.873  0.099  0.627
Si  0.873  0.401  0.627
Ir  0.164  0.039  0.604
Ir  0.164  0.461  0.604
Ir  0.179  0.750  0.573
Ir  0.321  0.250  0.073
Ir  0.336  0.539  0.104
Ir  0.336  0.961  0.104
Ir  0.664  0.039  0.896
Ir  0.664  0.461  0.896
Ir  0.679  0.750  0.927
Ir  0.821  0.250  0.427
Ir  0.836  0.539  0.396
Ir  0.836  0.961  0.396



Entry 4:
Nd2Si3Ir3: simulated powder X-ray diffraction pattern (λ = 1.5418 Å (Cu Kα)), based on a cell relaxed with PBE.
No peak broadening, texture or thermal motion is included.

The 8 most intense peaks (10 to 80 degrees two-theta), low angle first:
2θ 13.03, I = 50; 2θ 21.80, I = 23; 2θ 31.41, I = 100; 2θ 35.22, I = 27; 2θ 38.56, I = 22; 2θ 45.02, I = 37; 2θ 47.90, I = 46; 2θ 58.41, I = 25

Structural model:
Cell lengths 2.848, 2.848, 20.387 Å; angles 90.00, 90.00, 90.00 degrees
Positions (direct):
Nd  0.000  0.000  0.244
Nd  0.000  0.000  0.756
Si  0.000  0.000  0.000
Si  0.000  0.000  0.387
Si  0.000  0.000  0.613
Ir  0.000  0.000  0.110
Ir  0.000  0.000  0.500
Ir  0.000  0.000  0.890



Entry 5:
NdSi7Ir3: simulated powder X-ray diffraction pattern (λ = 1.5418 Å (Cu Kα)), based on a cell relaxed with PBE.
No peak broadening, texture or thermal motion is included.

The 8 most intense peaks (10 to 80 degrees two-theta), low angle first:
2θ 26.68, I = 100; 2θ 35.31, I = 38; 2θ 40.71, I = 38; 2θ 46.61, I = 35; 2θ 49.10, I = 20; 2θ 49.34, I = 27; 2θ 65.81, I = 18; 2θ 69.83, I = 19

Structural model:
Cell lengths 8.104, 8.104, 8.104 Å; angles 56.55, 56.55, 56.55 degrees
Positions (direct):
Nd  0.000  0.000  0.000
Nd  0.500  0.500  0.500
Si  0.063  0.851  0.673
Si  0.149  0.327  0.937
Si  0.173  0.351  0.563
Si  0.250  0.250  0.250
Si  0.327  0.937  0.149
Si  0.351  0.563  0.173
Si  0.437  0.827  0.649
Si  0.563  0.173  0.351
Si  0.649  0.437  0.827
Si  0.673  0.063  0.851
Si  0.750  0.750  0.750
Si  0.827  0.649  0.437
Si  0.851  0.673  0.063
Si  0.937  0.149  0.327
Ir  0.068  0.750  0.432
Ir  0.250  0.568  0.932
Ir  0.432  0.068  0.750
Ir  0.568  0.932  0.250
Ir  0.750  0.432  0.068
Ir  0.932  0.250  0.568



Entry 6:
Nd3Si5Ir6: simulated powder X-ray diffraction pattern (λ = 1.5418 Å (Cu Kα)), based on a cell relaxed with PBE.
No peak broadening, texture or thermal motion is included.

The 8 most intense peaks (10 to 80 degrees two-theta), low angle first:
2θ 17.84, I = 22; 2θ 32.15, I = 29; 2θ 34.59, I = 25; 2θ 35.00, I = 27; 2θ 35.84, I = 100; 2θ 43.52, I = 34; 2θ 44.82, I = 30; 2θ 64.77, I = 24

Structural model:
Cell lengths 4.044, 12.485, 9.946 Å; angles 90.00, 90.00, 90.00 degrees
Positions (direct):
Nd  0.250  0.096  0.247
Nd  0.250  0.404  0.247
Nd  0.250  0.750  0.242
Nd  0.750  0.250  0.758
Nd  0.750  0.596  0.753
Nd  0.750  0.904  0.753
Si  0.250  0.075  0.648
Si  0.250  0.425  0.648
Si  0.250  0.626  0.989
Si  0.250  0.750  0.602
Si  0.250  0.874  0.989
Si  0.750  0.126  0.011
Si  0.750  0.250  0.398
Si  0.750  0.374  0.011
Si  0.750  0.575  0.352
Si  0.750  0.925  0.352
Ir  0.250  0.049  0.896
Ir  0.250  0.250  0.006
Ir  0.250  0.250  0.524
Ir  0.250  0.451  0.896
Ir  0.250  0.580  0.488
Ir  0.250  0.920  0.488
Ir  0.750  0.080  0.512
Ir  0.750  0.420  0.512
Ir  0.750  0.549  0.104
Ir  0.750  0.750  0.476
Ir  0.750  0.750  0.994
Ir  0.750  0.951  0.104



Entry 7:
Nd6Si2Ir: simulated powder X-ray diffraction pattern (λ = 1.5418 Å (Cu Kα)), based on a cell relaxed with PBE.
No peak broadening, texture or thermal motion is included.

The 8 most intense peaks (10 to 80 degrees two-theta), low angle first:
2θ 13.97, I = 52; 2θ 17.53, I = 65; 2θ 27.36, I = 84; 2θ 29.85, I = 84; 2θ 29.99, I = 99; 2θ 31.07, I = 100; 2θ 35.97, I = 92; 2θ 51.91, I = 59

Structural model:
Cell lengths 6.440, 8.126, 11.955 Å; angles 90.00, 122.01, 90.00 degrees
Positions (direct):
Nd  0.072  0.173  0.435
Nd  0.072  0.327  0.935
Nd  0.292  0.677  0.442
Nd  0.292  0.823  0.942
Nd  0.373  0.038  0.241
Nd  0.373  0.462  0.741
Nd  0.627  0.538  0.259
Nd  0.627  0.962  0.759
Nd  0.708  0.177  0.058
Nd  0.708  0.323  0.558
Nd  0.928  0.673  0.065
Nd  0.928  0.827  0.565
Si  0.183  0.117  0.755
Si  0.183  0.383  0.255
Si  0.817  0.617  0.745
Si  0.817  0.883  0.245
Ir  0.500  0.000  0.500
Ir  0.500  0.500  0.000



Entry 8:
Nd4SnIr2: simulated powder X-ray diffraction pattern (λ = 1.5418 Å (Cu Kα)), based on a cell relaxed with PBE.
No peak broadening, texture or thermal motion is included.

The 8 most intense peaks (10 to 80 degrees two-theta), low angle first:
2θ 21.57, I = 30; 2θ 24.48, I = 31; 2θ 26.08, I = 20; 2θ 29.96, I = 19; 2θ 36.98, I = 85; 2θ 37.45, I = 100; 2θ 53.65, I = 30; 2θ 67.25, I = 30

Structural model:
Cell lengths 10.365, 10.365, 10.365 Å; angles 26.79, 26.79, 26.79 degrees
Positions (direct):
Nd  0.113  0.113  0.113
Nd  0.298  0.298  0.298
Nd  0.702  0.702  0.702
Nd  0.887  0.887  0.887
Sn  0.500  0.500  0.500
Ir  0.402  0.402  0.402
Ir  0.598  0.598  0.598



Entry 9:
Nd2Sn6Ir: simulated powder X-ray diffraction pattern (λ = 1.5418 Å (Cu Kα)), based on a cell relaxed with PBE.
No peak broadening, texture or thermal motion is included.

The 8 most intense peaks (10 to 80 degrees two-theta), low angle first:
2θ 12.84, I = 40; 2θ 20.63, I = 28; 2θ 24.64, I = 53; 2θ 33.50, I = 100; 2θ 34.51, I = 44; 2θ 37.66, I = 26; 2θ 39.18, I = 90; 2θ 42.64, I = 34

Structural model:
Cell lengths 7.688, 4.241, 8.690 Å; angles 90.00, 116.20, 90.00 degrees
Positions (direct):
Nd  0.189  0.000  0.379
Nd  0.811  0.000  0.621
Sn  0.159  0.500  0.695
Sn  0.270  0.000  0.000
Sn  0.464  0.500  0.305
Sn  0.536  0.500  0.695
Sn  0.730  0.000  0.000
Sn  0.841  0.500  0.305
Ir  0.500  0.500  0.000



Entry 10:
Nd2Sn5Ir3: simulated powder X-ray diffraction pattern (λ = 1.5418 Å (Cu Kα)), based on a cell relaxed with PBE.
No peak broadening, texture or thermal motion is included.

The 8 most intense peaks (10 to 80 degrees two-theta), low angle first:
2θ 33.03, I = 100; 2θ 35.68, I = 15; 2θ 36.18, I = 14; 2θ 40.04, I = 31; 2θ 43.24, I = 14; 2θ 44.02, I = 21; 2θ 62.42, I = 19; 2θ 68.30, I = 16

Structural model:
Cell lengths 13.579, 13.579, 7.349 Å; angles 90.00, 90.00, 160.91 degrees
Positions (direct):
Nd  0.023  0.977  0.500
Nd  0.327  0.673  0.524
Nd  0.673  0.327  0.024
Nd  0.977  0.023  0.000
Sn  0.097  0.903  0.872
Sn  0.206  0.794  0.317
Sn  0.210  0.790  0.742
Sn  0.379  0.621  0.996
Sn  0.452  0.548  0.663
Sn  0.548  0.452  0.163
Sn  0.621  0.379  0.496
Sn  0.790  0.210  0.242
Sn  0.794  0.206  0.817
Sn  0.903  0.097  0.372
Ir  0.106  0.894  0.244
Ir  0.277  0.723  0.031
Ir  0.449  0.551  0.282
Ir  0.551  0.449  0.782
Ir  0.723  0.277  0.531
Ir  0.894  0.106  0.744



Entry 11:
SrNd4Ir4: simulated powder X-ray diffraction pattern (λ = 1.5418 Å (Cu Kα)), based on a cell relaxed with PBE.
No peak broadening, texture or thermal motion is included.

The 8 most intense peaks (10 to 80 degrees two-theta), low angle first:
2θ 13.43, I = 34; 2θ 19.03, I = 25; 2θ 30.31, I = 100; 2θ 32.45, I = 55; 2θ 37.89, I = 24; 2θ 42.73, I = 47; 2θ 43.39, I = 29; 2θ 47.17, I = 32

Structural model:
Cell lengths 9.326, 9.326, 5.776 Å; angles 90.00, 90.00, 90.00 degrees
Positions (direct):
Sr  0.250  0.250  0.250
Sr  0.750  0.750  0.750
Nd  0.084  0.653  0.139
Nd  0.153  0.916  0.639
Nd  0.347  0.584  0.639
Nd  0.416  0.847  0.139
Nd  0.584  0.153  0.861
Nd  0.653  0.416  0.361
Nd  0.847  0.084  0.361
Nd  0.916  0.347  0.861
Ir  0.043  0.609  0.639
Ir  0.109  0.957  0.139
Ir  0.391  0.543  0.139
Ir  0.457  0.891  0.639
Ir  0.543  0.109  0.361
Ir  0.609  0.457  0.861
Ir  0.891  0.043  0.861
Ir  0.957  0.391  0.361